Computed X-ray diffraction stick pattern
Compound: BaIn5Pd3
Radiation: Cu Kα (weighted mean of Kα1 and Kα2)
Structure: a crystal structure in Alexandria, relaxed with PBE
Peak positions follow from Bragg's law for the DFT cell and can differ from measured ones.

Atomic structure:
Cell: 4.428 14.133 14.209 Å, 90.00 90.00 90.00°
Space group Cmcm (No. 63)
Asymmetric unit:
Ba  0.000  0.165  0.250
In  0.000  0.000  0.000
In  0.000  0.205  0.569
In  0.000  0.447  0.151
Pd  0.000  0.129  0.750
Pd  0.000  0.392  0.537

Top 8 peaks for 2θ from 10° to 90°, in order of rising 2θ:
hkl	d (Å)	2θ (°)	I/Imax
1 1 3	3.152	28.3	87.4
1 3 2	2.938	30.4	76.5
1 1 4	2.719	32.9	55.1
1 5 0	2.383	37.8	61.9
1 1 5	2.358	38.2	44.1
1 5 2	2.259	39.9	63.4
0 2 6	2.245	40.2	39.8
2 0 0	2.214	40.8	100.0